Record 1
Theoretical X-ray diffraction stick pattern of YW6 for CuKα, from a DFT-relaxed cell (PBE, Alexandria).

Top 10 peaks for 2θ = 10–90°, low angle first:
hkl, 2theta, I/Imax
1 1 0, 17.7, 68
2 0 0, 25.2, 42
2 1 1, 31.0, 100
3 1 0, 40.3, 18
2 2 2, 44.4, 61
3 2 1, 48.1, 59
4 0 0, 51.7, 41
5 2 1, 73.3, 17
4 4 0, 76.1, 26
6 1 1, 84.4, 18

Structural model:
```
data_YW6
_space_group_name_H-M_alt 'I m -3 m'
_space_group_IT_number 229
_space_group_name_Hall '-I 4 2 3'
_cell_length_a 7.072
_cell_length_b 7.072
_cell_length_c 7.072
_cell_angle_alpha 90.00
_cell_angle_beta 90.00
_cell_angle_gamma 90.00
loop_
_atom_site_label
_atom_site_fract_x
_atom_site_fract_y
_atom_site_fract_z
Y1 0.000 0.000 0.000
W1 0.000 0.250 0.500
```

Record 2
Theoretical X-ray diffraction stick pattern of Ac2Pd3Au5 for CuKα, from a DFT-relaxed cell (PBE, Alexandria).

Top 10 peaks for 2θ = 10–90°, low angle first:
hkl, 2theta, I/Imax
2 3 1, 30.0, 49
0 0 2, 30.4, 20
4 2 0, 33.0, 100
0 2 2, 33.6, 91
4 4 0, 41.4, 21
2 5 1, 41.6, 44
0 4 2, 41.9, 24
4 0 2, 43.0, 78
8 0 0, 61.7, 24
4 2 4, 73.2, 18

Structural model:
```
data_Ac2Pd3Au5
_space_group_name_H-M_alt 'I b a m'
_space_group_IT_number 72
_space_group_name_Hall '-I 2 2c'
_cell_length_a 12.010
_cell_length_b 12.694
_cell_length_c 5.886
_cell_angle_alpha 90.00
_cell_angle_beta 90.00
_cell_angle_gamma 90.00
loop_
_atom_site_label
_atom_site_fract_x
_atom_site_fract_y
_atom_site_fract_z
Ac1 0.128 0.220 0.000
Pd1 0.000 0.500 0.250
Pd2 0.137 0.140 0.500
Au1 0.000 0.000 0.250
Au2 0.105 0.347 0.500
Au3 0.235 0.500 0.250
```